Calculated powder XRD pattern
Compound: Si3O
Radiation: Cu Kα (weighted mean of Kα1 and Kα2)
Structure: the GGA-PBE geometry in Alexandria
Kinematic intensities with the Lorentz-polarization factor, no thermal factor.

Structure:
```
data_Si3O
_symmetry_space_group_name_H-M 'C 1 2/c 1'
_symmetry_Int_Tables_number 15
_symmetry_space_group_name_Hall '-C 2yc'
_cell_length_a 18.531
_cell_length_b 4.218
_cell_length_c 8.313
_cell_angle_alpha 90.00
_cell_angle_beta 107.76
_cell_angle_gamma 90.00
loop_
_atom_site_label
_atom_site_type_symbol
_atom_site_fract_x
_atom_site_fract_y
_atom_site_fract_z
Si1 Si 0.050 0.027 0.122
Si2 Si 0.124 0.481 0.662
Si3 Si 0.198 0.435 0.463
O1 O 0.000 0.107 0.250
O2 O 0.250 0.250 0.000
```

Main lines, low angle first (2θ = 10–80°):
| hkl | d/Å | 2theta | intensity |
| --- | --- | --- | --- |
| 4 0 -2 | 3.530 | 25.2 | 49 |
| 3 1 0 | 3.428 | 26.0 | 100 |
| 2 0 2 | 3.259 | 27.4 | 53 |
| 7 1 -2 | 2.151 | 42.0 | 28 |
| 0 2 0 | 2.109 | 42.9 | 13 |
| 2 0 -4 | 2.071 | 43.7 | 14 |
| 4 0 -4 | 2.054 | 44.1 | 8 |
| 5 1 2 | 2.025 | 44.8 | 34 |
| 4 2 -2 | 1.811 | 50.4 | 11 |
| 1 1 4 | 1.735 | 52.8 | 8 |

=====

Calculated powder XRD pattern
Compound: Ba8Ru3N8
Radiation: Cu Kα (weighted mean of Kα1 and Kα2)
Structure: the GGA-PBE geometry in Alexandria
Kinematic intensities with the Lorentz-polarization factor, no thermal factor.

Structure:
```
data_Ba8Ru3N8
_symmetry_space_group_name_H-M 'C 1 2/m 1'
_symmetry_Int_Tables_number 12
_symmetry_space_group_name_Hall '-C 2y'
_cell_length_a 20.171
_cell_length_b 5.697
_cell_length_c 8.072
_cell_angle_alpha 90.00
_cell_angle_beta 106.48
_cell_angle_gamma 90.00
loop_
_atom_site_label
_atom_site_type_symbol
_atom_site_fract_x
_atom_site_fract_y
_atom_site_fract_z
Ba1 Ba 0.026 0.000 0.261
Ba2 Ba 0.104 0.500 0.948
Ba3 Ba 0.168 0.500 0.468
Ba4 Ba 0.202 0.000 0.801
Ru1 Ru 0.000 0.500 0.500
Ru2 Ru 0.185 0.000 0.200
N1 N 0.022 0.500 0.297
N2 N 0.104 0.000 0.013
N3 N 0.177 0.000 0.422
N4 N 0.226 0.500 0.834
```

Main lines, low angle first (2θ = 10–80°):
| hkl | d/Å | 2theta | intensity |
| --- | --- | --- | --- |
| 3 1 1 | 3.473 | 25.7 | 28 |
| 1 1 -2 | 3.285 | 27.1 | 51 |
| 5 1 -1 | 3.238 | 27.5 | 59 |
| 6 0 0 | 3.224 | 27.7 | 19 |
| 5 1 0 | 3.200 | 27.9 | 44 |
| 3 1 -2 | 3.180 | 28.1 | 28 |
| 1 1 2 | 3.045 | 29.3 | 83 |
| 0 2 0 | 2.849 | 31.4 | 100 |
| 5 1 -2 | 2.812 | 31.8 | 44 |
| 6 0 1 | 2.715 | 33.0 | 20 |

=====

Calculated powder XRD pattern
Compound: Na3Cd5Ga2
Radiation: Cu Kα (weighted mean of Kα1 and Kα2)
Structure: the GGA-PBE geometry in Alexandria
Kinematic intensities with the Lorentz-polarization factor, no thermal factor.

Structure:
```
data_Na3Cd5Ga2
_symmetry_space_group_name_H-M 'I b a m'
_symmetry_Int_Tables_number 72
_symmetry_space_group_name_Hall '-I 2 2c'
_cell_length_a 12.420
_cell_length_b 13.239
_cell_length_c 6.269
_cell_angle_alpha 90.00
_cell_angle_beta 90.00
_cell_angle_gamma 90.00
loop_
_atom_site_label
_atom_site_type_symbol
_atom_site_fract_x
_atom_site_fract_y
_atom_site_fract_z
Na1 Na 0.000 0.000 0.250
Na2 Na 0.116 0.241 0.000
Cd1 Cd 0.000 0.500 0.250
Cd2 Cd 0.128 0.346 0.500
Cd3 Cd 0.249 0.500 0.250
Ga1 Ga 0.151 0.147 0.500
```

Main lines, low angle first (2θ = 10–80°):
| hkl | d/Å | 2theta | intensity |
| --- | --- | --- | --- |
| 0 2 0 | 6.619 | 13.4 | 40 |
| 2 0 0 | 6.210 | 14.3 | 17 |
| 2 1 1 | 4.186 | 21.2 | 90 |
| 0 2 2 | 2.833 | 31.6 | 77 |
| 4 2 0 | 2.811 | 31.8 | 72 |
| 0 4 2 | 2.276 | 39.6 | 54 |
| 2 5 1 | 2.270 | 39.7 | 48 |
| 4 4 0 | 2.264 | 39.8 | 49 |
| 4 0 2 | 2.206 | 40.9 | 100 |
| 4 6 2 | 1.560 | 59.2 | 31 |

=====

Calculated powder XRD pattern
Compound: YHo10Tm4
Radiation: Cu Kα (weighted mean of Kα1 and Kα2)
Structure: the GGA-PBE geometry in Alexandria
Kinematic intensities with the Lorentz-polarization factor, no thermal factor.

Structure:
```
data_YHo10Tm4
_symmetry_space_group_name_H-M 'I 4/m'
_symmetry_Int_Tables_number 87
_symmetry_space_group_name_Hall '-I 4'
_cell_length_a 12.042
_cell_length_b 12.042
_cell_length_c 7.612
_cell_angle_alpha 90.00
_cell_angle_beta 90.00
_cell_angle_gamma 90.00
loop_
_atom_site_label
_atom_site_type_symbol
_atom_site_fract_x
_atom_site_fract_y
_atom_site_fract_z
Y1 Y 0.000 0.000 0.000
Ho1 Ho 0.000 0.500 0.250
Ho2 Ho 0.100 0.798 0.252
Tm1 Tm 0.100 0.300 0.500
```

Main lines, low angle first (2θ = 10–80°):
| hkl | d/Å | 2theta | intensity |
| --- | --- | --- | --- |
| 2 1 1 | 4.396 | 20.2 | 24 |
| 1 3 0 | 3.807 | 23.4 | 16 |
| 4 2 0 | 2.692 | 33.3 | 100 |
| 5 0 1 | 2.296 | 39.2 | 13 |
| 2 6 0 | 1.904 | 47.8 | 18 |
| 6 3 1 | 1.747 | 52.4 | 6 |
| 7 1 0 | 1.703 | 53.8 | 7 |
| 7 1 2 | 1.554 | 59.5 | 38 |
| 8 4 0 | 1.346 | 69.9 | 12 |
| 10 0 0 | 1.204 | 79.6 | 16 |

=====

Calculated powder XRD pattern
Compound: La2CBr
Radiation: Cu Kα (weighted mean of Kα1 and Kα2)
Structure: the GGA-PBE geometry in Alexandria
Kinematic intensities with the Lorentz-polarization factor, no thermal factor.

Structure:
```
data_La2CBr
_symmetry_space_group_name_H-M 'R 3 m'
_symmetry_Int_Tables_number 160
_symmetry_space_group_name_Hall 'R 3 -2"'
_cell_length_a 3.8620
_cell_length_b 3.8620
_cell_length_c 23.2612
_cell_angle_alpha 90.00
_cell_angle_beta 90.00
_cell_angle_gamma 120.00
loop_
_atom_site_label
_atom_site_type_symbol
_atom_site_fract_x
_atom_site_fract_y
_atom_site_fract_z
La1 La 0.0000 0.0000 0.0000
La2 La 0.0000 0.0000 0.2107
C1 C 0.0000 0.0000 0.6059
Br1 Br 0.0000 0.0000 0.7734
```

Main lines, low angle first (2θ = 10–80°):
| hkl | d/Å | 2theta | intensity |
| --- | --- | --- | --- |
| 1 0 1 | 3.311 | 26.9 | 49 |
| 1 0 4 | 2.899 | 30.8 | 84 |
| 0 1 5 | 2.716 | 33.0 | 100 |
| 0 0 9 | 2.585 | 34.7 | 29 |
| 1 1 0 | 1.931 | 47.1 | 44 |
| 1 0 10 | 1.910 | 47.6 | 19 |
| 0 2 4 | 1.607 | 57.3 | 15 |
| 2 0 5 | 1.574 | 58.7 | 19 |
| 1 1 9 | 1.547 | 59.8 | 36 |
| 1 2 5 | 1.220 | 78.4 | 16 |

=====

Calculated powder XRD pattern
Compound: Li6PmSn6
Radiation: Cu Kα (weighted mean of Kα1 and Kα2)
Structure: the GGA-PBE geometry in Alexandria
Kinematic intensities with the Lorentz-polarization factor, no thermal factor.

Structure:
```
data_Li6PmSn6
_symmetry_space_group_name_H-M 'P 6/m m m'
_symmetry_Int_Tables_number 191
_symmetry_space_group_name_Hall '-P 6 2'
_cell_length_a 5.8331
_cell_length_b 5.8331
_cell_length_c 9.3575
_cell_angle_alpha 90.00
_cell_angle_beta 90.00
_cell_angle_gamma 120.00
loop_
_atom_site_label
_atom_site_type_symbol
_atom_site_fract_x
_atom_site_fract_y
_atom_site_fract_z
Li1 Li 0.0000 0.5000 0.2469
Pm1 Pm 0.0000 0.0000 0.0000
Sn1 Sn 0.0000 0.0000 0.3478
Sn2 Sn 0.3333 0.6667 0.0000
Sn3 Sn 0.3333 0.6667 0.5000
```

Main lines, low angle first (2θ = 10–80°):
| hkl | d/Å | 2theta | intensity |
| --- | --- | --- | --- |
| 0 0 2 | 4.679 | 19.0 | 38 |
| 1 1 0 | 2.917 | 30.7 | 100 |
| 1 0 3 | 2.654 | 33.8 | 30 |
| 1 1 2 | 2.475 | 36.3 | 54 |
| 1 1 3 | 2.130 | 42.4 | 16 |
| 3 0 0 | 1.684 | 54.5 | 20 |
| 2 1 3 | 1.628 | 56.5 | 14 |
| 3 0 2 | 1.584 | 58.2 | 14 |
| 2 2 0 | 1.458 | 63.8 | 14 |
| 1 1 6 | 1.375 | 68.2 | 21 |

=====

Calculated powder XRD pattern
Compound: Pr5AgRh4
Radiation: Cu Kα (weighted mean of Kα1 and Kα2)
Structure: the GGA-PBE geometry in Alexandria
Kinematic intensities with the Lorentz-polarization factor, no thermal factor.

Structure:
```
data_Pr5AgRh4
_symmetry_space_group_name_H-M 'P 4/m m m'
_symmetry_Int_Tables_number 123
_symmetry_space_group_name_Hall '-P 4 2'
_cell_length_a 3.592
_cell_length_b 3.592
_cell_length_c 18.324
_cell_angle_alpha 90.00
_cell_angle_beta 90.00
_cell_angle_gamma 90.00
loop_
_atom_site_label
_atom_site_type_symbol
_atom_site_fract_x
_atom_site_fract_y
_atom_site_fract_z
Pr1 Pr 0.000 0.000 0.000
Pr2 Pr 0.000 0.000 0.193
Pr3 Pr 0.000 0.000 0.384
Ag1 Ag 0.500 0.500 0.500
Rh1 Rh 0.500 0.500 0.098
Rh2 Rh 0.500 0.500 0.294
```

Main lines, low angle first (2θ = 10–80°):
| hkl | d/Å | 2theta | intensity |
| --- | --- | --- | --- |
| 1 0 0 | 3.592 | 24.8 | 2 |
| 1 0 5 | 2.565 | 35.0 | 100 |
| 1 1 0 | 2.540 | 35.3 | 52 |
| 1 0 6 | 2.327 | 38.7 | 3 |
| 0 0 10 | 1.832 | 49.8 | 7 |
| 2 0 0 | 1.796 | 50.8 | 18 |
| 1 1 10 | 1.486 | 62.5 | 15 |
| 2 1 5 | 1.471 | 63.2 | 35 |
| 2 0 10 | 1.283 | 73.9 | 9 |
| 2 2 0 | 1.270 | 74.8 | 6 |

=====

Calculated powder XRD pattern
Compound: FeCoCu
Radiation: Cu Kα (weighted mean of Kα1 and Kα2)
Structure: the GGA-PBE geometry in Alexandria
Kinematic intensities with the Lorentz-polarization factor, no thermal factor.

Structure:
```
data_FeCoCu
_symmetry_space_group_name_H-M 'F m m 2'
_symmetry_Int_Tables_number 42
_symmetry_space_group_name_Hall 'F 2 -2'
_cell_length_a 2.899
_cell_length_b 3.995
_cell_length_c 12.108
_cell_angle_alpha 90.00
_cell_angle_beta 90.00
_cell_angle_gamma 90.00
loop_
_atom_site_label
_atom_site_type_symbol
_atom_site_fract_x
_atom_site_fract_y
_atom_site_fract_z
Fe1 Fe 0.000 0.000 0.000
Co1 Co 0.000 0.000 0.660
Cu1 Cu 0.000 0.000 0.329
```

Main lines, low angle first (2θ = 10–80°):
| hkl | d/Å | 2theta | intensity |
| --- | --- | --- | --- |
| 0 0 4 | 3.027 | 29.5 | 1 |
| 1 1 1 | 2.303 | 39.1 | 1 |
| 1 1 3 | 2.028 | 44.7 | 100 |
| 0 0 6 | 2.018 | 44.9 | 24 |
| 0 2 0 | 1.997 | 45.4 | 24 |
| 2 0 0 | 1.449 | 64.3 | 8 |
| 0 2 6 | 1.420 | 65.8 | 14 |

=====

Calculated powder XRD pattern
Compound: YCo4Sn12
Radiation: Cu Kα (weighted mean of Kα1 and Kα2)
Structure: the GGA-PBE geometry in Alexandria
Kinematic intensities with the Lorentz-polarization factor, no thermal factor.

Structure:
```
data_YCo4Sn12
_symmetry_space_group_name_H-M 'I m -3'
_symmetry_Int_Tables_number 204
_symmetry_space_group_name_Hall '-I 2 2 3'
_cell_length_a 9.210
_cell_length_b 9.210
_cell_length_c 9.210
_cell_angle_alpha 90.00
_cell_angle_beta 90.00
_cell_angle_gamma 90.00
loop_
_atom_site_label
_atom_site_type_symbol
_atom_site_fract_x
_atom_site_fract_y
_atom_site_fract_z
Y1 Y 0.000 0.000 0.000
Co1 Co 0.250 0.250 0.250
Sn1 Sn 0.000 0.169 0.329
```

Main lines, low angle first (2θ = 10–80°):
| hkl | d/Å | 2theta | intensity |
| --- | --- | --- | --- |
| 3 1 0 | 2.913 | 30.7 | 100 |
| 3 2 1 | 2.462 | 36.5 | 53 |
| 4 0 2 | 2.059 | 44.0 | 16 |
| 3 3 2 | 1.964 | 46.2 | 8 |
| 4 2 2 | 1.880 | 48.4 | 22 |
| 4 1 3 | 1.806 | 50.5 | 16 |
| 5 0 3 | 1.580 | 58.4 | 25 |
| 6 0 0 | 1.535 | 60.3 | 11 |
| 5 3 2 | 1.494 | 62.1 | 14 |
| 6 3 1 | 1.358 | 69.2 | 20 |

=====

Calculated powder XRD pattern
Compound: Cs6RbHAu2
Radiation: Cu Kα (weighted mean of Kα1 and Kα2)
Structure: the GGA-PBE geometry in Alexandria
Kinematic intensities with the Lorentz-polarization factor, no thermal factor.

Structure:
```
data_Cs6RbHAu2
_symmetry_space_group_name_H-M 'P 1'
_symmetry_Int_Tables_number 1
_symmetry_space_group_name_Hall 'P 1'
_cell_length_a 9.113
_cell_length_b 9.114
_cell_length_c 9.990
_cell_angle_alpha 62.92
_cell_angle_beta 62.96
_cell_angle_gamma 60.06
loop_
_atom_site_label
_atom_site_type_symbol
_atom_site_fract_x
_atom_site_fract_y
_atom_site_fract_z
Cs1 Cs 0.000 0.000 0.000
Cs2 Cs 0.030 0.208 0.426
Cs3 Cs 0.224 0.602 0.426
Cs4 Cs 0.428 0.460 0.000
Cs5 Cs 0.635 0.796 0.426
Cs6 Cs 0.888 0.572 0.999
Rb1 Rb 0.527 0.098 0.734
H1 H 0.033 0.606 0.215
Au1 Au 0.205 0.778 0.699
Au2 Au 0.670 0.242 0.305
```

Main lines, low angle first (2θ = 10–80°):
| hkl | d/Å | 2theta | intensity |
| --- | --- | --- | --- |
| 1 0 1 | 6.712 | 13.2 | 97 |
| 2 1 0 | 4.017 | 22.1 | 92 |
| 2 2 1 | 3.901 | 22.8 | 64 |
| 2 0 2 | 3.356 | 26.6 | 55 |
| 1 0 -2 | 3.308 | 27.0 | 23 |
| 2 0 -1 | 3.122 | 28.6 | 47 |
| 2 1 3 | 3.108 | 28.7 | 100 |
| 3 2 1 | 2.905 | 30.8 | 48 |
| 3 0 1 | 2.632 | 34.1 | 31 |
| 1 4 1 | 2.158 | 41.9 | 31 |

=====

Calculated powder XRD pattern
Compound: NiAu
Radiation: Cu Kα (weighted mean of Kα1 and Kα2)
Structure: the GGA-PBE geometry in Alexandria
Kinematic intensities with the Lorentz-polarization factor, no thermal factor.

Structure:
```
data_NiAu
_symmetry_space_group_name_H-M 'C 1 m 1'
_symmetry_Int_Tables_number 8
_symmetry_space_group_name_Hall 'C -2y'
_cell_length_a 9.350
_cell_length_b 2.861
_cell_length_c 7.035
_cell_angle_alpha 90.00
_cell_angle_beta 111.71
_cell_angle_gamma 90.00
loop_
_atom_site_label
_atom_site_type_symbol
_atom_site_fract_x
_atom_site_fract_y
_atom_site_fract_z
Ni1 Ni 0.000 0.000 0.000
Ni2 Ni 0.025 0.000 0.486
Ni3 Ni 0.377 0.000 0.184
Au1 Au 0.185 0.500 0.304
Au2 Au 0.186 0.500 0.858
Au3 Au 0.362 0.000 0.660
```

Main lines, low angle first (2θ = 10–80°):
| hkl | d/Å | 2theta | intensity |
| --- | --- | --- | --- |
| 2 0 0 | 4.343 | 20.4 | 15 |
| 2 0 -2 | 3.252 | 27.4 | 15 |
| 1 1 0 | 2.718 | 33.0 | 20 |
| 2 0 2 | 2.243 | 40.2 | 50 |
| 4 0 -2 | 2.228 | 40.5 | 49 |
| 1 1 -2 | 2.220 | 40.6 | 100 |
| 3 1 0 | 2.035 | 44.5 | 80 |
| 2 0 -4 | 1.759 | 52.0 | 20 |
| 1 1 4 | 1.334 | 70.6 | 15 |
| 5 1 -4 | 1.328 | 71.0 | 15 |

=====

Calculated powder XRD pattern
Compound: ScGe2BiPd
Radiation: Cu Kα (weighted mean of Kα1 and Kα2)
Structure: the GGA-PBE geometry in Alexandria
Kinematic intensities with the Lorentz-polarization factor, no thermal factor.

Structure:
```
data_ScGe2BiPd
_symmetry_space_group_name_H-M 'P 4/m m m'
_symmetry_Int_Tables_number 123
_symmetry_space_group_name_Hall '-P 4 2'
_cell_length_a 5.115
_cell_length_b 5.115
_cell_length_c 4.907
_cell_angle_alpha 90.00
_cell_angle_beta 90.00
_cell_angle_gamma 90.00
loop_
_atom_site_label
_atom_site_type_symbol
_atom_site_fract_x
_atom_site_fract_y
_atom_site_fract_z
Sc1 Sc 0.000 0.000 0.000
Ge1 Ge 0.000 0.500 0.000
Bi1 Bi 0.500 0.500 0.500
Pd1 Pd 0.000 0.000 0.500
```

Main lines, low angle first (2θ = 10–80°):
| hkl | d/Å | 2theta | intensity |
| --- | --- | --- | --- |
| 1 1 0 | 3.617 | 24.6 | 21 |
| 1 0 1 | 3.541 | 25.2 | 19 |
| 1 1 1 | 2.911 | 30.7 | 100 |
| 2 0 0 | 2.557 | 35.1 | 52 |
| 0 0 2 | 2.453 | 36.6 | 23 |
| 2 2 0 | 1.808 | 50.5 | 18 |
| 2 0 2 | 1.770 | 51.6 | 34 |
| 3 1 1 | 1.536 | 60.2 | 30 |
| 1 1 3 | 1.490 | 62.3 | 14 |
| 2 2 2 | 1.456 | 64.0 | 18 |

=====

Calculated powder XRD pattern
Compound: ThFeB14
Radiation: Cu Kα (weighted mean of Kα1 and Kα2)
Structure: the GGA-PBE geometry in Alexandria
Kinematic intensities with the Lorentz-polarization factor, no thermal factor.

Structure:
```
data_ThFeB14
_symmetry_space_group_name_H-M 'I m m a'
_symmetry_Int_Tables_number 74
_symmetry_space_group_name_Hall '-I 2b 2'
_cell_length_a 5.844
_cell_length_b 10.756
_cell_length_c 8.344
_cell_angle_alpha 90.00
_cell_angle_beta 90.00
_cell_angle_gamma 90.00
loop_
_atom_site_label
_atom_site_type_symbol
_atom_site_fract_x
_atom_site_fract_y
_atom_site_fract_z
Th1 Th 0.000 0.250 0.128
Fe1 Fe 0.250 0.250 0.750
B1 B 0.000 0.087 0.667
B2 B 0.000 0.132 0.863
B3 B 0.000 0.167 0.465
B4 B 0.162 0.059 0.341
B5 B 0.249 0.078 0.549
```

Main lines, low angle first (2θ = 10–80°):
| hkl | d/Å | 2theta | intensity |
| --- | --- | --- | --- |
| 0 1 1 | 6.593 | 13.4 | 44 |
| 0 2 0 | 5.378 | 16.5 | 100 |
| 1 0 1 | 4.787 | 18.5 | 45 |
| 1 2 1 | 3.575 | 24.9 | 72 |
| 1 1 2 | 3.238 | 27.5 | 93 |
| 0 4 0 | 2.691 | 33.3 | 47 |
| 2 1 1 | 2.671 | 33.5 | 58 |
| 1 3 2 | 2.465 | 36.4 | 58 |
| 1 2 3 | 2.276 | 39.6 | 32 |
| 2 3 1 | 2.186 | 41.3 | 48 |